Calculated PXRD pattern
Compound: Li3Fe5Co2O12
Radiation: CuKα
Structure: the PBE+U geometry in Alexandria
No peak broadening, texture or thermal motion is included.

Structural model:
a = 5.1291 Å, b = 5.1291 Å, c = 9.7732 Å
α = 95.28°, β = 95.28°, γ = 121.74°
Fractional coordinates of all 22 atoms:
Li 0.0000 0.0000 0.0000
Li 0.0718 0.4138 0.2419
Li 0.5862 0.9282 0.7581
Fe 0.3515 0.6485 0.0000
Fe 0.3952 0.0713 0.2336
Fe 0.5018 0.4982 0.5000
Fe 0.8361 0.1639 0.5000
Fe 0.9287 0.6048 0.7664
Co 0.1662 0.8338 0.5000
Co 0.6669 0.3331 0.0000
O 0.0571 0.6887 0.1169
O 0.1498 0.1295 0.3894
O 0.1974 0.5645 0.6134
O 0.3113 0.9429 0.8831
O 0.3822 0.3559 0.1153
O 0.4355 0.8026 0.3866
O 0.5490 0.2040 0.6143
O 0.6441 0.6178 0.8847
O 0.6894 0.0612 0.1186
O 0.7960 0.4510 0.3857
O 0.8705 0.8502 0.6106
O 0.9388 0.3106 0.8814

Largest 10 diffraction maxima, in order of rising 2θ, 10° ≤ 2θ ≤ 80°:
18.5°, rel. 54; 19.8°, rel. 29; 24.0°, rel. 40; 32.0°, rel. 14; 35.5°, rel. 13; 37.4°, rel. 23; 43.1°, rel. 100; 44.6°, rel. 45; 63.5°, rel. 23; 64.0°, rel. 25